Entry 1:
# Cd8Cu7P30
Theoretical powder XRD pattern, copper Kα. Input: a GGA-PBE-relaxed structure.
Lines closer than 0.1° are merged.

Atomic structure:
a b c (Å): 7.425 7.438 18.233
angles (deg): 89.66 89.68 60.06
Space group P1 (No. 1)
Asymmetric unit:
Cd (0.000, 0.000, 0.000) [1 per cell]
Cd (0.000, 0.384, 0.996) [1 per cell]
Cd (0.127, 0.128, 0.127) [1 per cell]
Cd (0.333, 0.716, 0.336) [1 per cell]
Cd (0.334, 0.333, 0.335) [1 per cell]
Cd (0.467, 0.447, 0.464) [1 per cell]
Cd (0.668, 0.669, 0.666) [1 per cell]
Cd (0.788, 0.813, 0.788) [1 per cell]
Cu (0.107, 0.631, 0.661) [1 per cell]
Cu (0.124, 0.127, 0.533) [1 per cell]
Cu (0.423, 0.980, 0.995) [1 per cell]
Cu (0.458, 0.461, 0.866) [1 per cell]
Cu (0.633, 0.101, 0.663) [1 per cell]
Cu (0.755, 0.313, 0.329) [1 per cell]
Cu (0.791, 0.795, 0.200) [1 per cell]
P (0.107, 0.635, 0.535) [1 per cell]
P (0.124, 0.124, 0.660) [1 per cell]
P (0.133, 0.624, 0.157) [1 per cell]
P (0.141, 0.620, 0.036) [1 per cell]
P (0.274, 0.802, 0.702) [1 per cell]
P (0.289, 0.803, 0.823) [1 per cell]
P (0.290, 0.286, 0.700) [1 per cell]
P (0.290, 0.289, 0.821) [1 per cell]
P (0.300, 0.302, 0.196) [1 per cell]
P (0.300, 0.779, 0.196) [1 per cell]
P (0.440, 0.971, 0.868) [1 per cell]
P (0.460, 0.461, 0.994) [1 per cell]
P (0.468, 0.957, 0.493) [1 per cell]
P (0.475, 0.955, 0.372) [1 per cell]
P (0.606, 0.138, 0.035) [1 per cell]
P (0.607, 0.638, 0.035) [1 per cell]
P (0.622, 0.136, 0.157) [1 per cell]
P (0.622, 0.623, 0.157) [1 per cell]
P (0.633, 0.633, 0.529) [1 per cell]
P (0.636, 0.105, 0.538) [1 per cell]
P (0.773, 0.304, 0.202) [1 per cell]
P (0.792, 0.796, 0.328) [1 per cell]
P (0.798, 0.291, 0.821) [1 per cell]
P (0.800, 0.274, 0.700) [1 per cell]
P (0.937, 0.972, 0.371) [1 per cell]
P (0.939, 0.471, 0.369) [1 per cell]
P (0.953, 0.957, 0.493) [1 per cell]
P (0.955, 0.468, 0.490) [1 per cell]
P (0.964, 0.451, 0.857) [1 per cell]
P (0.967, 0.971, 0.862) [1 per cell]

Largest 8 diffraction maxima, in order of falling intensity, 2θ from 10° to 90°:
d 3.038, intensity 100.0; d 1.858, intensity 57.3; d 3.031, intensity 48.2; d 6.070, intensity 29.8; d 2.411, intensity 24.2; d 2.028, intensity 22.3; d 3.177, intensity 19.1; d 2.025, intensity 15.3

***

Entry 2:
# CeCd2Cu
Theoretical powder XRD pattern, copper Kα. Input: a GGA-PBE-relaxed structure.
Lines closer than 0.1° are merged.

Atomic structure:
a b c (Å): 7.040 7.040 7.040
angles (deg): 90.00 90.00 90.00
Space group F-43m (No. 216)
Asymmetric unit:
Ce (0.000, 0.000, 0.000) [4 per cell]
Cd (0.000, 0.000, 0.500) [4 per cell]
Cd (0.250, 0.250, 0.750) [4 per cell]
Cu (0.250, 0.250, 0.250) [4 per cell]

Largest 8 diffraction maxima, in order of falling intensity, 2θ from 10° to 90°:
d 2.489, intensity 100.0; d 1.437, intensity 34.0; d 1.760, intensity 17.1; d 1.113, intensity 15.0; d 1.244, intensity 10.4; d 4.064, intensity 3.3; d 3.520, intensity 3.2; d 2.123, intensity 1.8

***

Entry 3:
# HfUN2
Theoretical powder XRD pattern, copper Kα. Input: a GGA-PBE-relaxed structure.
Lines closer than 0.1° are merged.

Atomic structure:
a b c (Å): 3.2596 3.2596 16.9011
angles (deg): 90.00 90.00 120.00
Space group R-3m (No. 166, hexagonal axes)
Asymmetric unit:
Hf (0.0000, 0.0000, 0.0000) [3 per cell]
U (0.0000, 0.0000, 0.5000) [3 per cell]
N (0.0000, 0.0000, 0.2582) [6 per cell]

Largest 8 diffraction maxima, in order of falling intensity, 2θ from 10° to 90°:
d 2.677, intensity 100.0; d 2.347, intensity 90.6; d 2.817, intensity 38.3; d 1.691, intensity 33.0; d 1.411, intensity 30.5; d 1.630, intensity 29.5; d 1.450, intensity 16.8; d 1.339, intensity 15.4

***

Entry 4:
# Sr2TaNO3
Theoretical powder XRD pattern, copper Kα. Input: a GGA-PBE-relaxed structure.
Lines closer than 0.1° are merged.

Atomic structure:
a b c (Å): 4.035 4.089 12.754
angles (deg): 90.00 90.00 90.00
Space group Immm (No. 71)
Asymmetric unit:
Sr (0.000, 0.000, 0.145) [4 per cell]
Ta (0.000, 0.000, 0.500) [2 per cell]
N (0.000, 0.500, 0.500) [2 per cell]
O (0.000, 0.000, 0.339) [4 per cell]
O (0.000, 0.500, 0.000) [2 per cell]

Largest 8 diffraction maxima, in order of falling intensity, 2θ from 10° to 90°:
d 2.872, intensity 100.0; d 2.947, intensity 79.6; d 2.927, intensity 75.1; d 6.377, intensity 61.2; d 1.665, intensity 30.9; d 1.709, intensity 30.4; d 1.676, intensity 30.3; d 2.045, intensity 25.2

***

Entry 5:
# Sr3AlSb3
Theoretical powder XRD pattern, copper Kα. Input: a GGA-PBE-relaxed structure.
Lines closer than 0.1° are merged.

Atomic structure:
a b c (Å): 20.632 6.965 13.639
angles (deg): 90.00 90.00 90.00
Space group Cmce (No. 64)
Asymmetric unit:
Sr (0.000, 0.190, 0.146) [8 per cell]
Sr (0.176, 0.197, 0.871) [16 per cell]
Al (0.086, 0.000, 0.500) [8 per cell]
Sb (0.000, 0.212, 0.392) [8 per cell]
Sb (0.161, 0.212, 0.623) [16 per cell]

Largest 8 diffraction maxima, in order of falling intensity, 2θ from 10° to 90°:
d 3.439, intensity 100.0; d 3.410, intensity 93.7; d 2.421, intensity 83.8; d 3.483, intensity 74.1; d 2.436, intensity 74.0; d 2.447, intensity 66.7; d 1.988, intensity 53.4; d 3.207, intensity 25.8

***

Entry 6:
# PrBrO
Theoretical powder XRD pattern, copper Kα. Input: a GGA-PBE-relaxed structure.
Lines closer than 0.1° are merged.

Atomic structure:
a b c (Å): 4.100 4.100 7.668
angles (deg): 90.00 90.00 90.00
Space group P4/nmm (No. 129, origin choice 2)
Asymmetric unit:
Pr (0.250, 0.250, 0.155) [2 per cell]
Br (0.250, 0.250, 0.640) [2 per cell]
O (0.250, 0.750, 0.000) [2 per cell]

Largest 8 diffraction maxima, in order of falling intensity, 2θ from 10° to 90°:
d 2.800, intensity 100.0; d 2.899, intensity 52.0; d 1.654, intensity 40.9; d 2.050, intensity 25.7; d 1.599, intensity 16.3; d 7.668, intensity 12.7; d 3.616, intensity 12.1; d 1.090, intensity 11.0

***

Entry 7:
# BaMg14W
Theoretical powder XRD pattern, copper Kα. Input: a GGA-PBE-relaxed structure.
Lines closer than 0.1° are merged.

Atomic structure:
a b c (Å): 10.349 6.451 11.368
angles (deg): 90.00 90.00 90.00
Space group Amm2 (No. 38)
Asymmetric unit:
Ba (0.000, 0.000, 0.000) [2 per cell]
Mg (0.000, 0.248, 0.245) [4 per cell]
Mg (0.230, 0.000, 0.635) [4 per cell]
Mg (0.254, 0.236, 0.395) [8 per cell]
Mg (0.273, 0.000, 0.153) [4 per cell]
Mg (0.500, 0.000, 0.483) [2 per cell]
Mg (0.500, 0.000, 0.979) [2 per cell]
Mg (0.500, 0.242, 0.734) [4 per cell]
W (0.000, 0.000, 0.464) [2 per cell]

Largest 8 diffraction maxima, in order of falling intensity, 2θ from 10° to 90°:
d 2.466, intensity 100.0; d 4.982, intensity 56.7; d 2.491, intensity 50.8; d 5.684, intensity 38.5; d 2.587, intensity 37.2; d 2.805, intensity 35.8; d 5.174, intensity 33.4; d 3.826, intensity 29.6

***

Entry 8:
# SrHfO3
Theoretical powder XRD pattern, copper Kα. Input: a GGA-PBE-relaxed structure.
Lines closer than 0.1° are merged.

Atomic structure:
a b c (Å): 5.777 5.777 4.173
angles (deg): 90.00 90.00 90.00
Space group P4/mbm (No. 127)
Asymmetric unit:
Sr (0.000, 0.500, 0.000) [2 per cell]
Hf (0.000, 0.000, 0.500) [2 per cell]
O (0.000, 0.000, 0.000) [2 per cell]
O (0.197, 0.303, 0.500) [4 per cell]

Largest 8 diffraction maxima, in order of falling intensity, 2θ from 10° to 90°:
d 2.919, intensity 100.0; d 2.889, intensity 53.1; d 1.674, intensity 43.6; d 2.042, intensity 27.4; d 1.691, intensity 22.3; d 4.085, intensity 20.1; d 1.460, intensity 17.9; d 2.087, intensity 15.8